(1)
The following is a calculated PXRD pattern of SrGa4Cu4. It was derived from a structure optimized by DFT (GGA-PBE), using Cu Kα X-rays.
Lines closer than 0.1° are merged.

Top 8 peaks for 2θ from 5° to 70°, by angle:
- 2θ 14.75, intensity 49
- 2θ 29.76, intensity 34
- 2θ 30.64, intensity 38
- 2θ 33.37, intensity 81
- 2θ 39.53, intensity 63
- 2θ 43.24, intensity 100
- 2θ 48.50, intensity 59
- 2θ 52.66, intensity 42

Structure:
```
data_SrGa4Cu4
_cell_length_a 6.4227
_cell_length_b 6.4227
_cell_length_c 6.4227
_cell_angle_alpha 97.24
_cell_angle_beta 97.24
_cell_angle_gamma 138.42
_symmetry_space_group_name_H-M 'P 1'
_symmetry_Int_Tables_number 1
_symmetry_space_group_name_Hall 'P 1'
loop_
_atom_site_label
_atom_site_fract_x
_atom_site_fract_y
_atom_site_fract_z
Sr1 0.0000 0.0000 0.0000
Ga1 0.1147 0.6079 0.7226
Ga2 0.3921 0.1147 0.5069
Ga3 0.6079 0.8853 0.4931
Ga4 0.8853 0.3921 0.2774
Cu1 0.2039 0.3261 0.5300
Cu2 0.3261 0.7961 0.1222
Cu3 0.6739 0.2039 0.8778
Cu4 0.7961 0.6739 0.4700
```

(2)
The following is a calculated PXRD pattern of Dy2HoZn2In2. It was derived from a structure optimized by DFT (GGA-PBE), using Cu Kα X-rays.
Lines closer than 0.1° are merged.

Top 8 peaks for 2θ from 5° to 70°, by angle:
- 2θ 22.10, intensity 35
- 2θ 31.91, intensity 68
- 2θ 34.45, intensity 99
- 2θ 38.32, intensity 100
- 2θ 50.69, intensity 19
- 2θ 52.47, intensity 30
- 2θ 65.13, intensity 34
- 2θ 66.81, intensity 28

Structure:
```
data_Dy2HoZn2In2
_cell_length_a 9.4341
_cell_length_b 9.4341
_cell_length_c 9.4341
_cell_angle_alpha 28.83
_cell_angle_beta 28.83
_cell_angle_gamma 28.83
_symmetry_space_group_name_H-M 'P 1'
_symmetry_Int_Tables_number 1
_symmetry_space_group_name_Hall 'P 1'
loop_
_atom_site_label
_atom_site_fract_x
_atom_site_fract_y
_atom_site_fract_z
Dy1 0.1273 0.1273 0.1273
Dy2 0.8727 0.8727 0.8727
Ho1 0.0000 0.0000 0.0000
Zn1 0.3949 0.3949 0.3949
Zn2 0.6051 0.6051 0.6051
In1 0.2634 0.2634 0.2634
In2 0.7366 0.7366 0.7366
```

(3)
The following is a calculated PXRD pattern of SiPOsRuC. It was derived from a structure optimized by DFT (GGA-PBE), using Cu Kα X-rays.
Lines closer than 0.1° are merged.

Top 8 peaks for 2θ from 5° to 70°, by angle:
- 2θ 15.47, intensity 65
- 2θ 22.29, intensity 92
- 2θ 26.68, intensity 78
- 2θ 36.41, intensity 100
- 2θ 36.84, intensity 79
- 2θ 39.50, intensity 58
- 2θ 45.71, intensity 63
- 2θ 46.42, intensity 70

Structure:
```
data_SiPOsRuC
_cell_length_a 7.9856
_cell_length_b 2.8876
_cell_length_c 5.7333
_cell_angle_alpha 90.00
_cell_angle_beta 92.43
_cell_angle_gamma 90.00
_symmetry_space_group_name_H-M 'P 1'
_symmetry_Int_Tables_number 1
_symmetry_space_group_name_Hall 'P 1'
loop_
_atom_site_label
_atom_site_fract_x
_atom_site_fract_y
_atom_site_fract_z
Si1 0.0000 0.0000 0.0000
Si2 0.5000 0.5000 0.0000
P1 0.1178 0.5000 0.4394
P2 0.6178 0.0000 0.4394
Os1 0.3977 0.5000 0.5831
Os2 0.8977 0.0000 0.5831
Ru1 0.2735 0.0000 0.1733
Ru2 0.7735 0.5000 0.1733
C1 0.3654 0.0000 0.8393
C2 0.8654 0.5000 0.8393
```